1.
# NaMgTlIn
Simulated PXRD pattern, Cu Kα, 1.54184 Å. Input: a cell relaxed with PBE.
Neutral-atom scattering factors, no anomalous dispersion.

Structure:
```
NaMgTlIn
1.0
3.349 0.000 0.000
0.000 3.349 0.000
0.000 0.000 9.177
Na Mg Tl In
1 1 1 1
Cartesian
0.000 0.000 0.000
0.000 0.000 4.515
1.675 1.675 6.712
1.675 1.675 2.417
```

Principal peaks in the range 10° ≤ 2θ ≤ 90°, in order of falling intensity:
- 2.705 Å, intensity 100
- 4.588 Å, intensity 48
- 3.349 Å, intensity 47
- 2.368 Å, intensity 36
- 1.424 Å, intensity 27
- 2.104 Å, intensity 26
- 1.648 Å, intensity 22
- 2.294 Å, intensity 18
- 1.893 Å, intensity 16
- 1.675 Å, intensity 12

=====

2.
# Nd4MgIn
Simulated PXRD pattern, Cu Kα, 1.54184 Å. Input: a cell relaxed with PBE.
Neutral-atom scattering factors, no anomalous dispersion.

Structure:
```
Nd4MgIn
1.0
3.486 0.000 0.000
0.000 5.779 0.000
0.000 0.000 9.733
Nd Mg In
4 1 1
Cartesian
0.000 0.000 1.865
0.000 0.000 7.868
1.743 2.890 2.922
1.743 2.890 6.811
1.743 0.000 4.867
0.000 2.890 0.000
```

Principal peaks in the range 10° ≤ 2θ ≤ 90°, in order of falling intensity:
- 2.545 Å, intensity 100
- 2.829 Å, intensity 80
- 2.890 Å, intensity 53
- 2.985 Å, intensity 42
- 4.867 Å, intensity 34
- 3.282 Å, intensity 32
- 1.465 Å, intensity 26
- 1.593 Å, intensity 24
- 1.484 Å, intensity 22
- 1.700 Å, intensity 21

=====

3.
# Nd6MgIn2
Simulated PXRD pattern, Cu Kα, 1.54184 Å. Input: a cell relaxed with PBE.
Neutral-atom scattering factors, no anomalous dispersion.

Structure:
```
Nd6MgIn2
1.0
6.682 0.000 0.000
0.000 9.685 0.000
-1.149 0.000 8.765
Nd Mg In
12 2 4
Cartesian
0.198 1.650 0.054
-0.376 3.193 4.436
0.813 4.871 1.492
0.239 9.657 5.874
1.478 6.487 7.299
2.052 8.041 2.916
3.480 1.645 5.848
4.055 3.198 1.466
5.294 0.029 2.891
4.719 4.814 7.273
5.909 6.493 4.328
5.334 8.035 8.710
3.341 0.000 0.000
2.766 4.843 4.382
1.831 1.507 2.929
1.256 3.336 7.311
4.276 6.349 1.453
3.702 8.179 5.835
```

Principal peaks in the range 10° ≤ 2θ ≤ 90°, in order of falling intensity:
- 2.801 Å, intensity 100
- 2.825 Å, intensity 34
- 2.842 Å, intensity 29
- 2.812 Å, intensity 29
- 1.614 Å, intensity 17
- 1.464 Å, intensity 13
- 1.627 Å, intensity 12
- 3.454 Å, intensity 12
- 1.983 Å, intensity 11
- 1.977 Å, intensity 10

=====

4.
# Nd7Mg2In2
Simulated PXRD pattern, Cu Kα, 1.54184 Å. Input: a cell relaxed with PBE.
Neutral-atom scattering factors, no anomalous dispersion.

Structure:
```
Nd7Mg2In2
1.0
3.741 -5.727 0.000
3.741 5.727 0.000
0.000 0.000 8.707
Nd Mg In
7 2 2
Cartesian
0.000 0.000 0.000
1.870 2.863 2.598
1.870 2.863 6.110
1.870 -2.863 2.598
1.870 -2.863 6.110
3.741 0.000 2.136
3.741 0.000 6.571
3.741 2.456 0.000
3.741 -2.456 0.000
1.425 0.000 4.354
6.057 0.000 4.354
```

Principal peaks in the range 10° ≤ 2θ ≤ 90°, in order of falling intensity:
- 2.542 Å, intensity 100
- 3.575 Å, intensity 91
- 2.863 Å, intensity 81
- 3.132 Å, intensity 79
- 2.680 Å, intensity 50
- 3.437 Å, intensity 48
- 2.129 Å, intensity 46
- 3.466 Å, intensity 44
- 2.589 Å, intensity 29
- 8.707 Å, intensity 27